(1)
The following is a simulated powder diffractogram of CaTbF6. It was derived from a GGA-PBE-relaxed structure, using copper Kα.

Structure:
```
data_CaTbF6
_cell_length_a 5.473
_cell_length_b 5.473
_cell_length_c 7.961
_cell_angle_alpha 90.00
_cell_angle_beta 90.00
_cell_angle_gamma 90.00
_symmetry_space_group_name_H-M 'P 42/m'
_symmetry_Int_Tables_number 84
loop_
_symmetry_equiv_pos_as_xyz
'x,y,z'
'-x,-y,-z'
'-y,x,z+1/2'
'y,-x,-z+1/2'
'-x,-y,z'
'x,y,-z'
'y,-x,z+1/2'
'-y,x,-z+1/2'
loop_
_atom_site_label
_atom_site_type_symbol
_atom_site_fract_x
_atom_site_fract_y
_atom_site_fract_z
_atom_site_occupancy
Ca1 Ca 0.000 0.000 0.000 1
Tb1 Tb 0.500 0.500 0.250 1
F1 F 0.201 0.247 0.177 1
F2 F 0.314 0.337 0.500 1
```

Principal peaks in the range 2θ = 10–80°, in order of falling intensity:
two_theta  d [Å]  intensity  hkl
22.98  3.870  100  1 1 0
27.71  3.219  86  1 0 2
43.40  2.085  79  2 1 2
16.20  5.473  71  1 0 0
55.40  1.658  25  3 0 2
46.96  1.935  25  2 2 0
32.26  2.775  22  1 1 2
51.64  1.770  21  1 1 4
36.72  2.448  19  2 1 0
22.33  3.981  18  0 0 2

(2)
The following is a simulated powder diffractogram of CeMg16Al12. It was derived from a GGA-PBE-relaxed structure, using copper Kα.

Structure:
```
data_CeMg16Al12
_cell_length_a 15.2119
_cell_length_b 15.2119
_cell_length_c 8.8698
_cell_angle_alpha 90.00
_cell_angle_beta 90.00
_cell_angle_gamma 120.00
_symmetry_space_group_name_H-M 'R 3 m'
_symmetry_Int_Tables_number 160
_symmetry_space_group_name_Hall 'R 3 -2"'
loop_
_atom_site_label
_atom_site_type_symbol
_atom_site_fract_x
_atom_site_fract_y
_atom_site_fract_z
_atom_site_occupancy
Ce1 Ce 0.0000 0.0000 0.0000 1
Mg1 Mg 0.0000 0.0000 0.6244 1
Mg2 Mg 0.0330 0.3597 0.9906 1
Mg3 Mg 0.1049 0.5525 0.1777 1
Mg4 Mg 0.1107 0.2214 0.1308 1
Mg5 Mg 0.1995 0.3990 0.7445 1
Al1 Al 0.0019 0.1828 0.8119 1
Al2 Al 0.1210 0.0605 0.3205 1
Al3 Al 0.2119 0.4237 0.2281 1
```

Principal peaks in the range 2θ = 10–80°, in order of falling intensity:
two_theta  d [Å]  intensity  hkl
36.64  2.453  100  0 3 3
35.96  2.498  97  2 3 2
11.63  7.606  58  1 1 0
35.40  2.535  56  3 3 0
39.41  2.286  49  5 1 1
12.03  7.358  33  1 0 1
35.54  2.526  32  0 5 1
64.37  1.447  27  3 6 3
20.45  4.342  25  2 1 1
41.60  2.171  23  4 2 2

(3)
The following is a simulated powder diffractogram of K2ZrH12N6. It was derived from a GGA-PBE-relaxed structure, using copper Kα.

Structure:
```
data_K2ZrH12N6
_cell_length_a 6.8923
_cell_length_b 6.8923
_cell_length_c 34.3528
_cell_angle_alpha 90.00
_cell_angle_beta 90.00
_cell_angle_gamma 120.00
_symmetry_space_group_name_H-M 'R -3 c'
_symmetry_Int_Tables_number 167
_symmetry_space_group_name_Hall '-R 3 2"c'
loop_
_atom_site_label
_atom_site_type_symbol
_atom_site_fract_x
_atom_site_fract_y
_atom_site_fract_z
_atom_site_occupancy
K1 K 0.0000 0.0000 0.1343 1
Zr1 Zr 0.0000 0.0000 0.2500 1
H1 H 0.0042 0.2314 0.0529 1
H2 H 0.0086 0.4533 0.6422 1
N1 N 0.0379 0.4709 0.3785 1
```

Principal peaks in the range 2θ = 10–80°, in order of falling intensity:
two_theta  d [Å]  intensity  hkl
15.72  5.638  100  0 1 2
36.67  2.451  51  2 0 8
25.85  3.446  47  1 1 0
25.55  3.486  45  0 1 8
30.01  2.977  28  1 0 10
45.41  1.997  20  1 2 8
48.26  1.886  20  2 1 10
30.40  2.940  16  2 0 2
55.00  1.670  15  1 1 18
15.48  5.725  15  0 0 6